Structure and computed powder X-ray diffraction pattern of Tl (DFT lattice parameters and positions (GGA-PBE); CuKα).

Cell and atoms:
```
Tl
1.0
0.000 2.497 2.497
2.497 0.000 2.497
2.497 2.497 0.000
Tl
1
direct
0.000 0.000 0.000
```

The 5 most intense peaks (5° ≤ 2θ ≤ 70°), in order of rising 2θ:
- 31.02 deg, I 100
- 35.97 deg, I 51
- 51.79 deg, I 37
- 61.60 deg, I 44
- 64.67 deg, I 13